Entry 1:
Diffraction record for Li3AlFeO5. The powder XRD pattern is simulated, not measured: it uses a crystal structure in the Materials Project, relaxed with GGA+U and λ = 1.5418 Å (Cu Kα).
No peak broadening, texture or thermal motion is included.

Largest 12 diffraction maxima, sorted by position, 2θ = 10–80°:
- 19.91 deg, I = 100, (1 2 0)
- 24.06 deg, I = 86, (0 3 1)
- 24.84 deg, I = 34, (1 1 1)
- 26.63 deg, I = 31, (1 2 1)
- 32.28 deg, I = 56, (1 5 0)
- 33.58 deg, I = 31, (2 0 0)
- 35.43 deg, I = 51, (0 0 2)
- 36.95 deg, I = 35, (1 5 1)
- 56.72 deg, I = 18, (0 10 0)
- 59.22 deg, I = 31, (3 5 0)
- 64.60 deg, I = 29, (1 5 3)
- 70.93 deg, I = 19, (3 5 2)

Cell: 5.338 16.229 5.068 Å, 90.00 90.00 90.00°
Space group Pna2_1 (No. 33)
One atom of each set of equivalent atoms:
Li 0.163 0.101 0.000 [4 per cell]
Li 0.171 0.498 0.997 [4 per cell]
Li 0.172 0.701 0.990 [4 per cell]
Al 0.165 0.298 0.989 [4 per cell]
Fe 0.169 0.901 0.996 [4 per cell]
O 0.145 0.098 0.608 [4 per cell]
O 0.153 0.711 0.590 [4 per cell]
O 0.176 0.304 0.635 [4 per cell]
O 0.194 0.494 0.603 [4 per cell]
O 0.200 0.889 0.624 [4 per cell]

Entry 2:
Diffraction record for Li2AlFeO4. The powder XRD pattern is simulated, not measured: it uses a crystal structure in the Materials Project, relaxed with GGA+U and λ = 1.5418 Å (Cu Kα).
No peak broadening, texture or thermal motion is included.

Largest 12 diffraction maxima, sorted by position, 2θ = 10–80°:
- 21.32 deg, I = 85, (0 1 1)
- 22.42 deg, I = 100, (1 0 -2)
- 27.78 deg, I = 32, (1 1 0)
- 32.30 deg, I = 58, (0 1 2)
- 32.74 deg, I = 32, (0 2 0)
- 35.65 deg, I = 65, (2 0 -2)
- 37.02 deg, I = 41, (1 1 1)
- 37.41 deg, I = 18, (1 2 -1)
- 57.32 deg, I = 20, (0 0 4)
- 58.16 deg, I = 35, (0 3 2)
- 64.92 deg, I = 29, (3 1 -1)
- 70.11 deg, I = 21, (2 3 -4)

Cell: 5.038 5.471 8.166 Å, 90.00 128.05 90.00°
Space group Pc (No. 7)
One atom of each set of equivalent atoms:
Li 0.000 0.166 0.000 [2 per cell]
Li 0.746 0.329 0.247 [2 per cell]
Al 0.504 0.169 0.498 [2 per cell]
Fe 0.255 0.331 0.751 [2 per cell]
O 0.173 0.334 0.272 [2 per cell]
O 0.391 0.142 0.988 [2 per cell]
O 0.610 0.316 0.727 [2 per cell]
O 0.870 0.181 0.509 [2 per cell]

Entry 3:
Diffraction record for Li6AlFeO6. The powder XRD pattern is simulated, not measured: it uses a crystal structure in the Materials Project, relaxed with GGA+U and λ = 1.5418 Å (Cu Kα).
No peak broadening, texture or thermal motion is included.

Largest 12 diffraction maxima, sorted by position, 2θ = 10–80°:
- 18.13 deg, I = 65, (0 0 2)
- 18.95 deg, I = 58, (0 1 0)
- 21.03 deg, I = 50, (1 0 1)
- 26.35 deg, I = 54, (0 1 2)
- 38.03 deg, I = 100, (1 1 2)
- 41.66 deg, I = 13, (1 -1 4)
- 42.82 deg, I = 12, (2 0 2)
- 50.30 deg, I = 71, (1 -2 4)
- 52.55 deg, I = 12, (2 1 1)
- 59.20 deg, I = 32, (0 3 0)
- 62.46 deg, I = 12, (3 -3 2)
- 67.02 deg, I = 17, (2 -1 6)

Cell: 5.406 5.406 9.785 Å, 90.01 90.02 119.98°
Space group P1 (No. 1)
One atom of each set of equivalent atoms:
Li 0.000 0.000 0.000 [1 per cell]
Li 0.000 0.252 0.654 [1 per cell]
Li 0.244 0.621 0.501 [1 per cell]
Li 0.245 0.875 0.152 [1 per cell]
Li 0.306 0.999 0.652 [1 per cell]
Li 0.307 0.560 0.001 [1 per cell]
Li 0.560 0.255 0.000 [1 per cell]
Li 0.560 0.559 0.653 [1 per cell]
Li 0.684 0.315 0.501 [1 per cell]
Li 0.686 0.622 0.154 [1 per cell]
Li 0.937 0.314 0.152 [1 per cell]
Li 0.937 0.874 0.499 [1 per cell]
Al 0.288 0.270 0.326 [1 per cell]
Al 0.955 0.605 0.826 [1 per cell]
Fe 0.621 0.937 0.327 [1 per cell]
Fe 0.621 0.938 0.827 [1 per cell]
O 0.272 0.642 0.710 [1 per cell]
O 0.272 0.883 0.943 [1 per cell]
O 0.327 0.587 0.210 [1 per cell]
O 0.327 0.992 0.443 [1 per cell]
O 0.566 0.587 0.443 [1 per cell]
O 0.567 0.231 0.210 [1 per cell]
O 0.676 0.286 0.710 [1 per cell]
O 0.678 0.644 0.943 [1 per cell]
O 0.916 0.881 0.710 [1 per cell]
O 0.917 0.288 0.943 [1 per cell]
O 0.971 0.231 0.443 [1 per cell]
O 0.972 0.992 0.210 [1 per cell]

Entry 4:
Diffraction record for Li2Al2FeO6. The powder XRD pattern is simulated, not measured: it uses a crystal structure in the Materials Project, relaxed with GGA+U and λ = 1.5418 Å (Cu Kα).
No peak broadening, texture or thermal motion is included.

Largest 12 diffraction maxima, sorted by position, 2θ = 10–80°:
- 18.08 deg, I = 100, (0 0 1)
- 20.98 deg, I = 6, (0 2 0)
- 21.44 deg, I = 5, (1 1 0)
- 23.73 deg, I = 6, (1 1 -1)
- 36.09 deg, I = 10, (2 0 -1)
- 37.04 deg, I = 14, (1 3 0)
- 43.27 deg, I = 25, (2 0 -2)
- 44.37 deg, I = 45, (1 3 1)
- 57.81 deg, I = 11, (1 3 2)
- 62.86 deg, I = 17, (1 3 -3)
- 64.54 deg, I = 13, (3 3 -1)
- 66.20 deg, I = 6, (0 6 0)

Cell: 5.041 8.470 5.207 Å, 90.00 109.50 90.00°
Space group C2 (No. 5)
One atom of each set of equivalent atoms:
Li 0.000 0.000 0.000 [2 per cell]
Li 0.000 0.354 0.000 [2 per cell]
Al 0.000 0.160 0.500 [2 per cell]
Al 0.000 0.832 0.500 [2 per cell]
Fe 0.000 0.500 0.500 [2 per cell]
O 0.219 0.993 0.717 [4 per cell]
O 0.227 0.334 0.708 [4 per cell]
O 0.241 0.667 0.698 [4 per cell]